# 1
# Ba2ZrMnS6
Computed powder diffraction line list, Cu Ka. Input: the PBE geometry in Alexandria.
Peak positions follow from Bragg's law for the DFT cell and can differ from measured ones.

Main lines, in order of rising 2θ (2θ from 5° to 70°):
2θ 25.65, intensity 25; 2θ 25.82, intensity 100; 2θ 25.94, intensity 24; 2θ 31.63, intensity 21; 2θ 31.87, intensity 20; 2θ 36.82, intensity 82; 2θ 45.32, intensity 26; 2θ 45.66, intensity 31; 2θ 53.07, intensity 32; 2θ 59.91, intensity 13

Cell: 6.9464 6.8706 11.9618 Å, 90.00 125.38 90.00°
Space group P2_1/c (No. 14)
Inequivalent atoms, fractional coordinates:
Ba: 0.2443 0.0278 0.2489 x4
Zr: 0.5000 0.0000 0.0000 x2
Mn: 0.0000 0.0000 0.5000 x2
S: 0.1902 0.2329 0.9745 x4
S: 0.2384 0.7161 0.9731 x4
S: 0.2914 0.5035 0.2407 x4


# 2
# Rb2BaBiCl6
Computed powder diffraction line list, Cu Ka. Input: the PBE geometry in Alexandria.
Peak positions follow from Bragg's law for the DFT cell and can differ from measured ones.

Main lines, in order of rising 2θ (2θ from 5° to 70°):
2θ 15.46, intensity 30; 2θ 20.75, intensity 100; 2θ 21.93, intensity 44; 2θ 27.72, intensity 34; 2θ 31.20, intensity 50; 2θ 35.62, intensity 26; 2θ 37.77, intensity 44; 2θ 42.22, intensity 42; 2θ 45.15, intensity 22; 2θ 53.41, intensity 23

Cell: 8.1075 8.1075 12.8727 Å, 90.00 90.00 90.00°
Space group I4/mmm (No. 139)
Inequivalent atoms, fractional coordinates:
Rb: 0.0000 0.5000 0.2500 x4
Ba: 0.0000 0.0000 0.0000 x2
Bi: 0.0000 0.0000 0.5000 x2
Cl: 0.0000 0.0000 0.2331 x4
Cl: 0.2375 0.2375 0.5000 x8


# 3
# LaYHo5
Computed powder diffraction line list, Cu Ka. Input: the PBE geometry in Alexandria.
Peak positions follow from Bragg's law for the DFT cell and can differ from measured ones.

Main lines, in order of rising 2θ (2θ from 5° to 70°):
2θ 14.96, intensity 72; 2θ 20.62, intensity 59; 2θ 23.84, intensity 100; 2θ 26.87, intensity 78; 2θ 30.19, intensity 94; 2θ 30.87, intensity 89; 2θ 34.49, intensity 64; 2θ 34.87, intensity 60; 2θ 43.73, intensity 69; 2θ 46.78, intensity 52

Cell: 5.7926 8.6161 11.8401 Å, 90.00 90.00 90.00°
Space group Immm (No. 71)
Inequivalent atoms, fractional coordinates:
La: 0.0000 0.0000 0.0000 x2
Y: 0.0000 0.0000 0.5000 x2
Ho: 0.0000 0.0000 0.2526 x4
Ho: 0.0000 0.3208 0.5000 x4
Ho: 0.0000 0.5000 0.0000 x2


# 4
# Pm2Nd2Hg3
Computed powder diffraction line list, Cu Ka. Input: the PBE geometry in Alexandria.
Peak positions follow from Bragg's law for the DFT cell and can differ from measured ones.

Main lines, in order of rising 2θ (2θ from 5° to 70°):
2θ 10.32, intensity 10; 2θ 19.42, intensity 10; 2θ 20.33, intensity 9; 2θ 25.85, intensity 8; 2θ 33.41, intensity 100; 2θ 33.92, intensity 94; 2θ 48.35, intensity 35; 2θ 59.72, intensity 19; 2θ 60.03, intensity 31; 2θ 61.00, intensity 17

Cell: 5.3602 5.3643 9.1089 Å, 72.94 72.99 60.05°
Space group P-1 (No. 2)
Inequivalent atoms, fractional coordinates:
Pm: 0.1269 0.1283 0.1170 x2
Nd: 0.3797 0.3805 0.3598 x2
Hg: 0.0000 0.0000 0.5000 x1
Hg: 0.2507 0.2497 0.7495 x2


# 5
# HoTm5In
Computed powder diffraction line list, Cu Ka. Input: the PBE geometry in Alexandria.
Peak positions follow from Bragg's law for the DFT cell and can differ from measured ones.

Main lines, in order of rising 2θ (2θ from 5° to 70°):
2θ 15.57, intensity 87; 2θ 18.39, intensity 57; 2θ 22.47, intensity 57; 2θ 24.18, intensity 82; 2θ 28.01, intensity 78; 2θ 31.44, intensity 100; 2θ 32.49, intensity 93; 2θ 39.64, intensity 55; 2θ 40.50, intensity 91; 2θ 40.62, intensity 54

Cell: 7.9150 11.3833 6.0859 Å, 90.00 90.00 90.00°
Space group Imm2 (No. 44)
Inequivalent atoms, fractional coordinates:
Ho: 0.0000 0.0000 0.0000 x2
Tm: 0.0000 0.2517 0.6146 x4
Tm: 0.0000 0.5000 0.2942 x2
Tm: 0.1846 0.0000 0.5014 x4
In: 0.0000 0.5000 0.7702 x2


# 6
# BaPr5
Computed powder diffraction line list, Cu Ka. Input: the PBE geometry in Alexandria.
Peak positions follow from Bragg's law for the DFT cell and can differ from measured ones.

Main lines, in order of rising 2θ (2θ from 5° to 70°):
2θ 28.76, intensity 100; 2θ 33.26, intensity 34; 2θ 33.48, intensity 17; 2θ 36.50, intensity 1; 2θ 47.74, intensity 12; 2θ 47.91, intensity 24; 2θ 56.70, intensity 28; 2θ 56.99, intensity 15; 2θ 59.57, intensity 12; 2θ 69.82, intensity 4

Cell: 5.3530 16.1636 5.3883 Å, 90.00 90.00 90.00°
Space group Cmmm (No. 65)
Inequivalent atoms, fractional coordinates:
Ba: 0.0000 0.0000 0.0000 x2
Pr: 0.0000 0.1731 0.5000 x4
Pr: 0.0000 0.3265 0.0000 x4
Pr: 0.0000 0.5000 0.5000 x2


# 7
# YPa2MnN5
Computed powder diffraction line list, Cu Ka. Input: the PBE geometry in Alexandria.
Peak positions follow from Bragg's law for the DFT cell and can differ from measured ones.

Main lines, in order of rising 2θ (2θ from 5° to 70°):
2θ 15.85, intensity 69; 2θ 30.58, intensity 51; 2θ 31.71, intensity 81; 2θ 32.02, intensity 42; 2θ 34.62, intensity 100; 2θ 43.79, intensity 19; 2θ 44.86, intensity 60; 2θ 58.76, intensity 21; 2θ 60.71, intensity 25; 2θ 67.97, intensity 19

Cell: 6.5375 6.5375 5.5899 Å, 90.00 90.00 90.00°
Space group P4/mbm (No. 127)
Inequivalent atoms, fractional coordinates:
Y: 0.0000 0.0000 0.0000 x2
Pa: 0.1714 0.3286 0.5000 x4
Mn: 0.0000 0.5000 0.0000 x2
N: 0.0000 0.0000 0.5000 x2
N: 0.1490 0.6490 0.2379 x8


# 8
# AlCo2Ni8
Computed powder diffraction line list, Cu Ka. Input: the PBE geometry in Alexandria.
Peak positions follow from Bragg's law for the DFT cell and can differ from measured ones.

Main lines, in order of rising 2θ (2θ from 5° to 70°):
2θ 16.34, intensity 6; 2θ 16.59, intensity 5; 2θ 28.65, intensity 4; 2θ 38.63, intensity 5; 2θ 43.59, intensity 22; 2θ 45.08, intensity 9; 2θ 45.54, intensity 100; 2θ 47.95, intensity 27; 2θ 50.47, intensity 15; 2θ 60.30, intensity 8

Cell: 7.2126 10.8490 3.7946 Å, 90.00 121.66 90.00°
Space group Cm (No. 8)
Inequivalent atoms, fractional coordinates:
Al: 0.0000 0.0000 0.0000 x2
Co: 0.4126 0.1510 0.9127 x4
Ni: 0.1952 0.5000 0.1955 x2
Ni: 0.1986 0.1978 0.1988 x4
Ni: 0.1996 0.3456 0.7000 x4
Ni: 0.4099 0.0000 0.4104 x2
Ni: 0.4830 0.3474 0.4834 x4


# 9
# SrY2ErSe4
Computed powder diffraction line list, Cu Ka. Input: the PBE geometry in Alexandria.
Peak positions follow from Bragg's law for the DFT cell and can differ from measured ones.

Main lines, in order of rising 2θ (2θ from 5° to 70°):
2θ 13.02, intensity 5; 2θ 25.22, intensity 3; 2θ 30.47, intensity 100; 2θ 43.34, intensity 12; 2θ 43.65, intensity 49; 2θ 43.88, intensity 12; 2θ 53.92, intensity 13; 2θ 54.38, intensity 13; 2θ 63.38, intensity 8; 2θ 63.49, intensity 4

Cell: 7.1937 4.1265 7.1993 Å, 90.00 109.07 90.00°
Space group P2/m (No. 10)
Inequivalent atoms, fractional coordinates:
Sr: 0.0000 0.0000 0.0000 x1
Y: 0.0000 0.5000 0.5000 x1
Y: 0.5000 0.0000 0.5000 x1
Er: 0.5000 0.5000 0.0000 x1
Se: 0.2585 0.0000 0.7486 x2
Se: 0.2628 0.5000 0.2591 x2


# 10
# ThAl3Ge3
Computed powder diffraction line list, Cu Ka. Input: the PBE geometry in Alexandria.
Peak positions follow from Bragg's law for the DFT cell and can differ from measured ones.

Main lines, in order of rising 2θ (2θ from 5° to 70°):
2θ 7.59, intensity 100; 2θ 14.65, intensity 100; 2θ 28.79, intensity 58; 2θ 28.95, intensity 46; 2θ 30.05, intensity 71; 2θ 30.95, intensity 49; 2θ 32.28, intensity 40; 2θ 34.16, intensity 52; 2θ 44.27, intensity 45; 2θ 45.76, intensity 57

Cell: 4.0930 6.5039 12.1242 Å, 74.73 80.43 72.69°
Space group P-1 (No. 2)
Inequivalent atoms, fractional coordinates:
Th: 0.0887 0.4888 0.3316 x2
Al: 0.1005 0.7913 0.0102 x2
Al: 0.1971 0.0080 0.5930 x2
Al: 0.3801 0.9715 0.2473 x2
Ge: 0.2276 0.7552 0.8020 x2
Ge: 0.4030 0.3248 0.8722 x2
Ge: 0.4053 0.7225 0.4642 x2


# 11
# LiAl2H4Pb2O4F6
Computed powder diffraction line list, Cu Ka. Input: the PBE geometry in Alexandria.
Peak positions follow from Bragg's law for the DFT cell and can differ from measured ones.

Main lines, in order of rising 2θ (2θ from 5° to 70°):
2θ 14.26, intensity 48; 2θ 19.00, intensity 100; 2θ 22.16, intensity 34; 2θ 23.54, intensity 27; 2θ 24.12, intensity 32; 2θ 25.79, intensity 46; 2θ 27.11, intensity 29; 2θ 32.51, intensity 35; 2θ 34.26, intensity 25; 2θ 46.58, intensity 23

Cell: 4.6869 7.2230 7.5999 Å, 114.22 93.74 91.02°
Space group P-1 (No. 2)
Inequivalent atoms, fractional coordinates:
Li: 0.0000 0.0000 0.0000 x1
Al: 0.4554 0.6917 0.6717 x2
H: 0.0985 0.5092 0.3556 x2
H: 0.1390 0.1279 0.3870 x2
Pb: 0.4674 0.2280 0.7586 x2
O: 0.2989 0.5339 0.4114 x2
O: 0.3469 0.1355 0.4223 x2
F: 0.1806 0.8860 0.7346 x2
F: 0.2312 0.5573 0.7758 x2
F: 0.3329 0.1827 0.0991 x2


# 12
# Cr2Fe3
Computed powder diffraction line list, Cu Ka. Input: the PBE geometry in Alexandria.
Peak positions follow from Bragg's law for the DFT cell and can differ from measured ones.

Main lines, in order of rising 2θ (2θ from 5° to 70°):
2θ 44.10, intensity 34; 2θ 44.30, intensity 100; 2θ 51.55, intensity 61

Cell: 2.5029 2.5029 30.8058 Å, 90.00 90.00 120.00°
Space group R-3m (No. 166, hexagonal axes)
Inequivalent atoms, fractional coordinates:
Cr: 0.0000 0.0000 0.0999 x6
Fe: 0.0000 0.0000 0.2998 x6
Fe: 0.0000 0.0000 0.5000 x3


# 13
# Sm7Y2Er2
Computed powder diffraction line list, Cu Ka. Input: the PBE geometry in Alexandria.
Peak positions follow from Bragg's law for the DFT cell and can differ from measured ones.

Main lines, in order of rising 2θ (2θ from 5° to 70°):
2θ 25.28, intensity 19; 2θ 30.77, intensity 23; 2θ 31.20, intensity 19; 2θ 31.44, intensity 100; 2θ 33.83, intensity 45; 2θ 43.18, intensity 7; 2θ 44.90, intensity 11; 2θ 50.30, intensity 10; 2θ 54.08, intensity 9; 2θ 56.00, intensity 9

Cell: 11.5260 11.3739 6.0605 Å, 90.00 112.37 90.00°
Space group C2/m (No. 12)
Inequivalent atoms, fractional coordinates:
Sm: 0.0000 0.0000 0.0000 x2
Sm: 0.1804 0.2289 0.1749 x8
Sm: 0.2344 0.0000 0.5977 x4
Y: 0.0000 0.2174 0.5000 x4
Er: 0.0802 0.5000 0.7992 x4